Diffraction record for ZrMn4. The powder diffractogram is simulated, not measured: it uses a DFT-relaxed cell (GGA-PBE, Alexandria) and Cu Ka.

Atomic structure:
```
data_ZrMn4
_chemical_formula_sum 'Zr2 Mn8'
_cell_length_a 3.8330
_cell_length_b 3.8330
_cell_length_c 9.3270
_cell_angle_alpha 90.00
_cell_angle_beta 90.00
_cell_angle_gamma 90.00
_space_group_name_H-M_alt 'I 4/m m m'
_space_group_IT_number 139
_space_group_name_Hall '-I 4 2'
loop_
_atom_site_label
_atom_site_type_symbol
_atom_site_fract_x
_atom_site_fract_y
_atom_site_fract_z
Zr1 Zr 0.0000 0.0000 0.0000
Mn1 Mn 0.0000 0.0000 0.3777
Mn2 Mn 0.0000 0.5000 0.2500
```

Top 6 peaks for 15 to 90 degrees two-theta, most intense first:
d/Å	two_theta	I/Imax	(hkl)
2.343	38.41	1000	1 1 2
2.415	37.24	709	1 0 3
1.917	47.44	606	2 0 0
1.501	61.80	297	2 1 3
1.677	54.72	247	1 0 5
1.173	82.17	191	3 1 2

Diffraction record for Cs2Sc2Se5. The powder diffractogram is simulated, not measured: it uses a DFT-relaxed cell (GGA-PBE, Alexandria) and Cu Ka.

Atomic structure:
```
data_Cs2Sc2Se5
_chemical_formula_sum 'Cs2 Sc2 Se5'
_cell_length_a 5.5155
_cell_length_b 7.7954
_cell_length_c 8.0175
_cell_angle_alpha 66.30
_cell_angle_beta 69.90
_cell_angle_gamma 69.31
_space_group_name_H-M_alt 'P -1'
_space_group_IT_number 2
_space_group_name_Hall '-P 1'
loop_
_atom_site_label
_atom_site_type_symbol
_atom_site_fract_x
_atom_site_fract_y
_atom_site_fract_z
Cs1 Cs 0.1354 0.0216 0.2071
Sc1 Sc 0.3762 0.3836 0.3646
Se1 Se 0.1575 0.5678 0.6172
Se2 Se 0.4219 0.6640 0.9927
Se3 Se 0.5000 0.0000 0.5000
```

Top 6 peaks for 15 to 90 degrees two-theta, most intense first:
d/Å	two_theta	I/Imax	(hkl)
3.296	27.05	1000	1 0 2
2.758	32.47	660	2 1 1
3.244	27.50	608	1 2 2
2.508	35.81	437	0 1 3
3.455	25.78	294	0 2 0
4.650	19.09	292	1 1 0

Diffraction record for Pm5Zn2Ge5. The powder diffractogram is simulated, not measured: it uses a DFT-relaxed cell (GGA-PBE, Alexandria) and Cu Ka.

Atomic structure:
```
data_Pm5Zn2Ge5
_chemical_formula_sum 'Pm10 Zn4 Ge10'
_cell_length_a 15.1805
_cell_length_b 4.2419
_cell_length_c 11.4934
_cell_angle_alpha 90.00
_cell_angle_beta 130.17
_cell_angle_gamma 90.00
_space_group_name_H-M_alt 'C 1 2/m 1'
_space_group_IT_number 12
_space_group_name_Hall '-C 2y'
loop_
_atom_site_label
_atom_site_type_symbol
_atom_site_fract_x
_atom_site_fract_y
_atom_site_fract_z
Pm1 Pm 0.0000 0.0000 0.0000
Pm2 Pm 0.1033 0.0000 0.4212
Pm3 Pm 0.1986 0.0000 0.8269
Zn1 Zn 0.1414 0.5000 0.2560
Ge1 Ge 0.0000 0.5000 0.5000
Ge2 Ge 0.0661 0.5000 0.8596
Ge3 Ge 0.2448 0.5000 0.6766
```

Top 6 peaks for 15 to 90 degrees two-theta, most intense first:
d/Å	two_theta	I/Imax	(hkl)
2.826	31.66	1000	3 1 -3
2.288	39.38	655	5 1 -1
2.750	32.56	501	2 0 2
2.671	33.55	453	1 1 2
2.121	42.63	380	0 2 0
2.418	37.19	308	6 0 -4

Diffraction record for Tm6Mg2Ir. The powder diffractogram is simulated, not measured: it uses a DFT-relaxed cell (GGA-PBE, Alexandria) and Cu Ka.

Atomic structure:
```
data_Tm6Mg2Ir
_chemical_formula_sum 'Tm12 Mg4 Ir2'
_cell_length_a 5.4457
_cell_length_b 8.3764
_cell_length_c 11.2412
_cell_angle_alpha 90.00
_cell_angle_beta 90.00
_cell_angle_gamma 90.00
_space_group_name_H-M_alt 'I m m m'
_space_group_IT_number 71
_space_group_name_Hall '-I 2 2'
loop_
_atom_site_label
_atom_site_type_symbol
_atom_site_fract_x
_atom_site_fract_y
_atom_site_fract_z
Tm1 Tm 0.0000 0.1781 0.0000
Tm2 Tm 0.0000 0.2358 0.3451
Mg1 Mg 0.0000 0.5000 0.1375
Ir1 Ir 0.0000 0.5000 0.5000
```

Top 6 peaks for 15 to 90 degrees two-theta, most intense first:
d/Å	two_theta	I/Imax	(hkl)
2.485	36.15	1000	1 2 3
3.087	28.92	354	1 0 3
2.723	32.89	344	2 0 0
4.188	21.21	260	0 2 0
1.522	60.87	222	3 2 3
3.420	26.05	154	0 1 3

Diffraction record for K4Bi2O5. The powder diffractogram is simulated, not measured: it uses a DFT-relaxed cell (GGA-PBE, Alexandria) and Cu Ka.

Atomic structure:
```
data_K4Bi2O5
_chemical_formula_sum 'K8 Bi4 O10'
_cell_length_a 9.8155
_cell_length_b 6.7180
_cell_length_c 8.0432
_cell_angle_alpha 90.00
_cell_angle_beta 99.05
_cell_angle_gamma 90.00
_space_group_name_H-M_alt 'C 1 m 1'
_space_group_IT_number 8
_space_group_name_Hall 'C -2y'
loop_
_atom_site_label
_atom_site_type_symbol
_atom_site_fract_x
_atom_site_fract_y
_atom_site_fract_z
K1 K 0.0000 0.0000 0.0000
K2 K 0.0094 0.0000 0.4942
K3 K 0.1695 0.5000 0.6290
K4 K 0.3398 0.0000 0.3608
Bi1 Bi 0.1644 0.5000 0.1825
Bi2 Bi 0.3642 0.0000 0.8213
O1 O 0.0556 0.2643 0.2608
O2 O 0.0829 0.5000 0.9199
O3 O 0.3749 0.2318 0.6568
```

Top 6 peaks for 15 to 90 degrees two-theta, most intense first:
d/Å	two_theta	I/Imax	(hkl)
3.095	28.85	1000	1 1 2
4.737	18.73	923	1 1 -1
2.912	30.71	784	3 1 0
5.522	16.05	584	1 1 0
3.360	26.53	539	0 2 0
2.369	37.99	504	2 2 -2

Diffraction record for Cs4H5Br. The powder diffractogram is simulated, not measured: it uses a DFT-relaxed cell (GGA-PBE, Alexandria) and Cu Ka.

Atomic structure:
```
data_Cs4H5Br
_chemical_formula_sum 'Cs8 H10 Br2'
_cell_length_a 9.9958
_cell_length_b 13.0786
_cell_length_c 5.8996
_cell_angle_alpha 90.00
_cell_angle_beta 90.00
_cell_angle_gamma 90.00
_space_group_name_H-M_alt 'P m m n'
_space_group_IT_number 59
loop_
_space_group_symop_operation_xyz
'x,y,z'
'-x,-y,-z'
'-x+1/2,-y+1/2,z'
'x+1/2,y+1/2,-z'
'x+1/2,-y,-z'
'-x+1/2,y,z'
'-x,y+1/2,-z'
'x,-y+1/2,z'
loop_
_atom_site_label
_atom_site_type_symbol
_atom_site_fract_x
_atom_site_fract_y
_atom_site_fract_z
Cs1 Cs 0.0209 0.2500 0.0518
Cs2 Cs 0.2500 0.5266 0.6104
H1 H 0.0269 0.5021 0.0506
H2 H 0.2500 0.7500 0.7716
Br1 Br 0.2500 0.2500 0.5614
```

Top 6 peaks for 15 to 90 degrees two-theta, most intense first:
d/Å	two_theta	I/Imax	(hkl)
3.813	23.33	1000	2 0 1
3.971	22.39	666	2 2 0
4.380	20.27	635	0 2 1
2.482	36.19	527	2 4 1
4.002	22.21	389	1 3 0
3.270	27.28	384	0 4 0

- Number 2 is which compound?
  Cs2Sc2Se5